Starting from the GGA+U geometry in the Materials Project, the powder XRD pattern of Li4Ti3Nb3Cr2O16 was computed for Cu Kα (weighted mean of Kα1 and Kα2).
Neutral-atom scattering factors, no anomalous dispersion.

Most intense lines, 2θ from 10° to 90°, by intensity:
2θ = 17.85°, 4.969 Å, intensity 100
2θ = 19.32°, 4.595 Å, intensity 93
2θ = 35.77°, 2.510 Å, intensity 38
2θ = 44.50°, 2.036 Å, intensity 38
2θ = 35.07°, 2.558 Å, intensity 38
2θ = 61.80°, 1.501 Å, intensity 29
2θ = 39.17°, 2.300 Å, intensity 27
2θ = 19.15°, 4.635 Å, intensity 27

Cell and atoms:
```
data_Li4Ti3Nb3Cr2O16
_space_group_name_H-M_alt 'C 1 m 1'
_space_group_IT_number 8
_cell_length_a 10.423
_cell_length_b 5.965
_cell_length_c 9.939
_cell_angle_alpha 90.00
_cell_angle_beta 90.59
_cell_angle_gamma 90.00
loop_
_space_group_symop_operation_xyz
'x,y,z'
'x,-y,z'
'x+1/2,y+1/2,z'
'x+1/2,-y+1/2,z'
loop_
_atom_site_label
_atom_site_fract_x
_atom_site_fract_y
_atom_site_fract_z
Li1 0.000 0.000 0.000
Li2 0.005 0.000 0.504
Li3 0.180 0.500 0.398
Li4 0.346 0.000 0.906
Ti1 0.346 0.500 0.725
Ti2 0.427 0.247 0.223
Nb1 0.097 0.273 0.716
Nb2 0.178 0.000 0.218
Cr1 0.179 0.500 0.996
Cr2 0.342 0.000 0.490
O1 0.006 0.000 0.323
O2 0.011 0.000 0.819
O3 0.028 0.500 0.860
O4 0.089 0.244 0.110
O5 0.175 0.000 0.602
O6 0.199 0.500 0.595
O7 0.256 0.278 0.841
O8 0.272 0.221 0.345
O9 0.347 0.000 0.111
O10 0.348 0.500 0.114
O11 0.430 0.251 0.609
O12 0.490 0.000 0.341
```

Starting from the GGA+U geometry in the Materials Project, the powder XRD pattern of Sr2MgMo2O8 was computed for Cu Kα (weighted mean of Kα1 and Kα2).
Neutral-atom scattering factors, no anomalous dispersion.

Most intense lines, 2θ from 10° to 90°, by intensity:
2θ = 25.51°, 3.492 Å, intensity 100
2θ = 25.71°, 3.465 Å, intensity 99
2θ = 27.91°, 3.197 Å, intensity 72
2θ = 43.39°, 2.085 Å, intensity 71
2θ = 28.12°, 3.174 Å, intensity 67
2θ = 31.82°, 2.812 Å, intensity 40
2θ = 28.35°, 3.149 Å, intensity 39
2θ = 14.06°, 6.297 Å, intensity 37

Cell and atoms:
```
data_Sr2MgMo2O8
_space_group_name_H-M_alt 'P 1'
_space_group_IT_number 1
_cell_length_a 5.480
_cell_length_b 5.667
_cell_length_c 7.274
_cell_angle_alpha 109.47
_cell_angle_beta 109.27
_cell_angle_gamma 96.99
loop_
_space_group_symop_operation_xyz
'x,y,z'
loop_
_atom_site_label
_atom_site_fract_x
_atom_site_fract_y
_atom_site_fract_z
Sr1 0.000 0.000 0.000
Sr2 0.235 0.729 0.461
Mg1 0.917 0.418 0.834
Mo1 0.516 0.517 0.035
Mo2 0.698 0.196 0.386
O1 0.219 0.229 0.841
O2 0.283 0.726 0.106
O3 0.427 0.348 0.275
O4 0.623 0.614 0.841
O5 0.636 0.093 0.592
O6 0.822 0.377 0.111
O7 0.847 0.926 0.275
O8 0.961 0.502 0.591
```